Structure and calculated X-ray diffraction stick pattern of V4OF11 (a DFT-relaxed cell (GGA+U, the Materials Project); Cu Kα (λ = 1.5418 Å)).
No peak broadening, texture or thermal motion is included.

Atomic structure:
a = 5.246 Å, b = 5.452 Å, c = 17.450 Å
α = 89.31°, β = 81.81°, γ = 61.70°
Space group P-1 (No. 2)
Inequivalent atoms, fractional coordinates:
V (0.000, 0.000, 0.000)
V (0.000, 0.500, 0.500)
V (0.252, 0.378, 0.126)
V (0.255, 0.885, 0.632)
V (0.496, 0.243, 0.748)
O (0.328, 0.036, 0.704)
F (0.172, 0.716, 0.543)
F (0.173, 0.914, 0.338)
F (0.177, 0.215, 0.036)
F (0.177, 0.408, 0.837)
F (0.224, 0.180, 0.560)
F (0.230, 0.688, 0.063)
F (0.268, 0.567, 0.687)
F (0.274, 0.067, 0.187)
F (0.320, 0.838, 0.911)
F (0.326, 0.543, 0.214)
F (0.330, 0.343, 0.413)

The 12 most intense peaks (10° ≤ 2θ ≤ 80°), in order of rising 2θ:
(0 1 -3), d 3.798, 2θ = 23.4°, intensity 100; (1 1 3), d 3.753, 2θ = 23.7°, intensity 50; (1 -1 1), d 2.741, 2θ = 32.7°, intensity 8; (1 2 0), d 2.720, 2θ = 32.9°, intensity 14; (2 0 0), d 2.281, 2θ = 39.5°, intensity 15; (2 2 2), d 2.260, 2θ = 39.9°, intensity 9; (0 2 -6), d 1.899, 2θ = 47.9°, intensity 21; (2 2 6), d 1.876, 2θ = 48.5°, intensity 10; (-2 1 1), d 1.726, 2θ = 53.1°, intensity 13; (2 3 3), d 1.708, 2θ = 53.6°, intensity 7; (1 2 8), d 1.706, 2θ = 53.7°, intensity 8; (3 2 -4), d 1.518, 2θ = 61.0°, intensity 9